(1)
Simulated powder X-ray diffraction pattern
Compound: Na5TlAu2
Radiation: Cu Kα (weighted mean of Kα1 and Kα2)
Structure: a cell relaxed with GGA-PBE

Crystal structure
```
Na5TlAu2
1.0
-2.5001 4.6202 4.7031
2.5001 -4.6202 4.7031
2.5001 4.6202 -4.7031
Na Tl Au
5 1 2
direct
0.0000 0.0000 0.0000
0.0134 0.6872 0.3262
0.3611 0.6872 0.6738
0.6389 0.3128 0.3262
0.9866 0.3128 0.6738
0.5000 0.0000 0.5000
0.3169 0.3169 0.0000
0.6831 0.6831 0.0000
```

Top 10 peaks for 15° ≤ 2θ ≤ 90°, in order of rising 2θ:
- 2θ = 19.2°, rel. 1000
- 2θ = 27.8°, rel. 869
- 2θ = 30.5°, rel. 290
- 2θ = 33.7°, rel. 770
- 2θ = 35.9°, rel. 351
- 2θ = 38.5°, rel. 230
- 2θ = 39.1°, rel. 652
- 2θ = 39.3°, rel. 547
- 2θ = 41.1°, rel. 382
- 2θ = 52.5°, rel. 305

=====

(2)
Simulated powder X-ray diffraction pattern
Compound: Na3TlAu4
Radiation: Cu Kα (weighted mean of Kα1 and Kα2)
Structure: a cell relaxed with GGA-PBE

Crystal structure
```
Na3TlAu4
1.0
5.0424 0.0000 0.0000
-0.0648 5.3340 0.0000
-0.0136 -0.0375 6.2515
Na Tl Au
3 1 4
direct
0.0000 0.0000 0.0000
0.0005 0.4996 0.2432
0.4995 0.3180 0.4851
0.4976 0.8179 0.7436
0.9999 0.4694 0.7395
0.5004 0.3360 0.9908
0.5014 0.8462 0.2386
0.9983 0.9782 0.5006
```

Top 10 peaks for 15° ≤ 2θ ≤ 90°, in order of rising 2θ:
- 2θ = 22.0°, rel. 390
- 2θ = 22.7°, rel. 623
- 2θ = 33.3°, rel. 202
- 2θ = 33.6°, rel. 353
- 2θ = 35.6°, rel. 723
- 2θ = 37.7°, rel. 1000
- 2θ = 37.8°, rel. 510
- 2θ = 38.0°, rel. 853
- 2θ = 38.4°, rel. 381
- 2θ = 65.2°, rel. 281

=====

(3)
Simulated powder X-ray diffraction pattern
Compound: Na4Tl3Au
Radiation: Cu Kα (weighted mean of Kα1 and Kα2)
Structure: a cell relaxed with GGA-PBE

Crystal structure
```
Na4Tl3Au
1.0
9.6897 -2.3171 0.0000
9.6897 2.3171 0.0000
-1.2129 0.0000 4.7094
Na Tl Au
4 3 1
direct
0.1166 0.1166 0.1165
0.3824 0.3824 0.3826
0.6176 0.6176 0.6174
0.8834 0.8834 0.8835
0.0000 0.0000 0.5000
0.2459 0.2459 0.7465
0.7541 0.7541 0.2535
0.5000 0.5000 0.0000
```

Top 10 peaks for 15° ≤ 2θ ≤ 90°, in order of rising 2θ:
- 2θ = 18.9°, rel. 581
- 2θ = 26.6°, rel. 521
- 2θ = 32.8°, rel. 1000
- 2θ = 37.0°, rel. 184
- 2θ = 38.4°, rel. 161
- 2θ = 38.9°, rel. 162
- 2θ = 41.8°, rel. 160
- 2θ = 43.6°, rel. 143
- 2θ = 47.3°, rel. 227
- 2θ = 64.0°, rel. 147

=====

(4)
Simulated powder X-ray diffraction pattern
Compound: Na8TlAu2
Radiation: Cu Kα (weighted mean of Kα1 and Kα2)
Structure: a cell relaxed with GGA-PBE

Crystal structure
```
Na8TlAu2
1.0
-2.5203 3.9916 7.5159
2.5203 -3.9916 7.5159
2.5203 3.9916 -7.5159
Na Tl Au
8 1 2
direct
0.1214 0.3401 0.7813
0.1568 0.1568 0.0000
0.3041 0.0000 0.3041
0.4412 0.6599 0.7813
0.5588 0.3401 0.2187
0.6958 0.0000 0.6958
0.8432 0.8432 0.0000
0.8786 0.6599 0.2187
0.0000 0.5000 0.5000
0.3111 0.8111 0.5000
0.6889 0.1889 0.5000
```

Top 10 peaks for 15° ≤ 2θ ≤ 90°, in order of rising 2θ:
- 2θ = 20.9°, rel. 1000
- 2θ = 22.3°, rel. 203
- 2θ = 25.1°, rel. 247
- 2θ = 31.8°, rel. 120
- 2θ = 33.8°, rel. 600
- 2θ = 35.6°, rel. 150
- 2θ = 35.8°, rel. 101
- 2θ = 38.3°, rel. 222
- 2θ = 41.7°, rel. 185
- 2θ = 41.8°, rel. 108

=====

Copy entry 4 word for word.
Simulated powder X-ray diffraction pattern
Compound: Na8TlAu2
Radiation: Cu Kα (weighted mean of Kα1 and Kα2)
Structure: a cell relaxed with GGA-PBE

Crystal structure
```
Na8TlAu2
1.0
-2.5203 3.9916 7.5159
2.5203 -3.9916 7.5159
2.5203 3.9916 -7.5159
Na Tl Au
8 1 2
direct
0.1214 0.3401 0.7813
0.1568 0.1568 0.0000
0.3041 0.0000 0.3041
0.4412 0.6599 0.7813
0.5588 0.3401 0.2187
0.6958 0.0000 0.6958
0.8432 0.8432 0.0000
0.8786 0.6599 0.2187
0.0000 0.5000 0.5000
0.3111 0.8111 0.5000
0.6889 0.1889 0.5000
```

Top 10 peaks for 15° ≤ 2θ ≤ 90°, in order of rising 2θ:
- 2θ = 20.9°, rel. 1000
- 2θ = 22.3°, rel. 203
- 2θ = 25.1°, rel. 247
- 2θ = 31.8°, rel. 120
- 2θ = 33.8°, rel. 600
- 2θ = 35.6°, rel. 150
- 2θ = 35.8°, rel. 101
- 2θ = 38.3°, rel. 222
- 2θ = 41.7°, rel. 185
- 2θ = 41.8°, rel. 108